[1]
Simulated XRD peak list
Compound: Tb2CuSe3
Radiation: Cu Kα, 1.54184 Å
Structure: the GGA-PBE geometry in OQMD
Neutral-atom scattering factors, no anomalous dispersion.

Most intense lines, 10° ≤ 2θ ≤ 90°, in order of falling intensity:
d 2.556, I = 100
d 2.818, I = 63
d 4.119, I = 34
d 1.950, I = 27
d 2.038, I = 22
d 2.627, I = 21
d 2.149, I = 19
d 2.245, I = 16
d 2.925, I = 15
d 2.024, I = 15

Atomic structure:
Lattice parameters (Å, degrees): 10.510 3.899 13.267 90.00 90.00 90.00
Fractional positions:
1 Tb 0.018 0.250 0.244
2 Tb 0.220 0.750 0.515
3 Tb 0.280 0.250 0.015
4 Tb 0.482 0.750 0.744
5 Tb 0.518 0.250 0.256
6 Tb 0.720 0.750 0.985
7 Tb 0.780 0.250 0.485
8 Tb 0.982 0.750 0.756
9 Cu 0.234 0.250 0.725
10 Cu 0.266 0.750 0.225
11 Cu 0.734 0.250 0.775
12 Cu 0.766 0.750 0.275
13 Se 0.050 0.250 0.606
14 Se 0.099 0.750 0.097
15 Se 0.235 0.750 0.845
16 Se 0.265 0.250 0.345
17 Se 0.401 0.250 0.597
18 Se 0.450 0.750 0.106
19 Se 0.550 0.250 0.894
20 Se 0.599 0.750 0.403
21 Se 0.735 0.750 0.655
22 Se 0.765 0.250 0.155
23 Se 0.901 0.250 0.903
24 Se 0.950 0.750 0.394

[2]
Simulated XRD peak list
Compound: TbYCu2Se4
Radiation: Cu Kα, 1.54184 Å
Structure: the GGA-PBE geometry in OQMD
Neutral-atom scattering factors, no anomalous dispersion.

Most intense lines, 10° ≤ 2θ ≤ 90°, in order of falling intensity:
d 2.440, I = 100
d 3.195, I = 99
d 2.314, I = 71
d 1.956, I = 62
d 1.994, I = 43
d 3.662, I = 30
d 2.928, I = 28
d 4.628, I = 24
d 1.172, I = 23
d 2.630, I = 20

Atomic structure:
Lattice parameters (Å, degrees): 6.545 6.545 4.418 90.00 90.00 90.07
Fractional positions:
1 Tb 0.000 0.000 0.000
2 Y 0.500 0.500 0.537
3 Cu 0.000 0.500 0.770
4 Cu 0.500 0.000 0.770
5 Se 0.200 0.200 0.516
6 Se 0.301 0.699 0.022
7 Se 0.699 0.301 0.022
8 Se 0.800 0.800 0.516

[3]
Simulated XRD peak list
Compound: CuTc3Se4
Radiation: Cu Kα, 1.54184 Å
Structure: the GGA-PBE geometry in OQMD
Neutral-atom scattering factors, no anomalous dispersion.

Most intense lines, 10° ≤ 2θ ≤ 90°, in order of falling intensity:
d 6.095, I = 100
d 2.032, I = 90
d 3.258, I = 70
d 2.489, I = 48
d 1.928, I = 34
d 1.132, I = 26
d 1.195, I = 22
d 1.659, I = 18
d 1.838, I = 16
d 1.797, I = 12

Atomic structure:
Lattice parameters (Å, degrees): 5.452 5.452 12.190 90.00 90.00 90.03
Fractional positions:
1 Cu 0.239 0.761 0.500
2 Cu 0.761 0.239 0.000
3 Tc 0.238 0.262 0.496
4 Tc 0.262 0.238 0.996
5 Tc 0.262 0.738 0.995
6 Tc 0.738 0.262 0.495
7 Tc 0.738 0.762 0.496
8 Tc 0.762 0.738 0.996
9 Se 0.018 0.496 0.867
10 Se 0.022 0.978 0.125
11 Se 0.496 0.018 0.367
12 Se 0.498 0.502 0.625
13 Se 0.502 0.498 0.125
14 Se 0.504 0.982 0.867
15 Se 0.978 0.022 0.625
16 Se 0.982 0.504 0.367

[4]
Simulated XRD peak list
Compound: TlCuTcTe2Se
Radiation: Cu Kα, 1.54184 Å
Structure: the GGA-PBE geometry in OQMD
Neutral-atom scattering factors, no anomalous dispersion.

Most intense lines, 10° ≤ 2θ ≤ 90°, in order of falling intensity:
d 2.927, I = 100
d 3.038, I = 79
d 2.157, I = 46
d 2.479, I = 44
d 2.606, I = 41
d 2.467, I = 40
d 1.664, I = 35
d 3.063, I = 34
d 4.166, I = 30
d 1.910, I = 28

Atomic structure:
Lattice parameters (Å, degrees): 7.925 7.925 9.913 90.00 90.00 152.10
Fractional positions:
1 Tl 0.243 0.757 0.750
2 Tl 0.757 0.243 0.250
3 Cu 0.028 0.972 0.250
4 Cu 0.972 0.028 0.750
5 Tc 0.500 0.500 0.000
6 Tc 0.500 0.500 0.500
7 Te 0.127 0.873 0.043
8 Te 0.127 0.873 0.457
9 Te 0.873 0.127 0.543
10 Te 0.873 0.127 0.957
11 Se 0.434 0.566 0.250
12 Se 0.566 0.434 0.750

[5]
Simulated XRD peak list
Compound: ZrCu2TeSe2
Radiation: Cu Kα, 1.54184 Å
Structure: the GGA-PBE geometry in OQMD
Neutral-atom scattering factors, no anomalous dispersion.

Most intense lines, 10° ≤ 2θ ≤ 90°, in order of falling intensity:
d 2.003, I = 100
d 2.960, I = 84
d 2.099, I = 72
d 1.969, I = 56
d 3.363, I = 52
d 3.233, I = 46
d 3.341, I = 40
d 5.966, I = 40
d 2.215, I = 39
d 1.871, I = 38

Atomic structure:
Lattice parameters (Å, degrees): 9.956 9.956 6.982 96.27 96.27 22.81
Fractional positions:
1 Zr 0.149 0.149 0.047
2 Zr 0.851 0.851 0.953
3 Cu 0.213 0.213 0.434
4 Cu 0.455 0.455 0.845
5 Cu 0.545 0.545 0.155
6 Cu 0.787 0.787 0.566
7 Te 0.080 0.080 0.381
8 Te 0.920 0.920 0.619
9 Se 0.253 0.253 0.783
10 Se 0.415 0.415 0.162
11 Se 0.585 0.585 0.838
12 Se 0.747 0.747 0.217

[6]
Simulated XRD peak list
Compound: ZrCu2TeSe2
Radiation: Cu Kα, 1.54184 Å
Structure: the GGA-PBE geometry in OQMD
Neutral-atom scattering factors, no anomalous dispersion.

Most intense lines, 10° ≤ 2θ ≤ 90°, in order of falling intensity:
d 2.953, I = 100
d 2.004, I = 77
d 2.544, I = 68
d 3.362, I = 68
d 1.961, I = 61
d 1.889, I = 49
d 3.267, I = 47
d 3.106, I = 45
d 2.103, I = 44
d 3.329, I = 29

Atomic structure:
Lattice parameters (Å, degrees): 10.070 10.070 6.995 97.01 97.01 22.45
Fractional positions:
1 Zr 0.152 0.152 0.053
2 Zr 0.848 0.848 0.947
3 Cu 0.210 0.210 0.444
4 Cu 0.451 0.451 0.846
5 Cu 0.549 0.549 0.154
6 Cu 0.790 0.790 0.556
7 Te 0.418 0.418 0.198
8 Te 0.582 0.582 0.802
9 Se 0.087 0.087 0.351
10 Se 0.254 0.254 0.781
11 Se 0.746 0.746 0.219
12 Se 0.913 0.913 0.649

[7]
Simulated XRD peak list
Compound: Cu2WSe4
Radiation: Cu Kα, 1.54184 Å
Structure: the GGA-PBE geometry in OQMD
Neutral-atom scattering factors, no anomalous dispersion.

Most intense lines, 10° ≤ 2θ ≤ 90°, in order of falling intensity:
d 4.980, I = 100
d 3.208, I = 97
d 1.959, I = 92
d 5.500, I = 77
d 2.490, I = 54
d 1.975, I = 47
d 1.137, I = 30
d 1.682, I = 28
d 2.436, I = 26
d 3.065, I = 23

Atomic structure:
Lattice parameters (Å, degrees): 6.771 6.771 6.771 131.29 131.29 71.36
Fractional positions:
1 Cu 0.000 0.500 0.500
2 Cu 0.500 0.000 0.500
3 W 0.000 0.000 0.000
4 Se 0.112 0.112 0.483
5 Se 0.371 0.888 0.000
6 Se 0.629 0.629 0.517
7 Se 0.888 0.371 0.000

[8]
Simulated XRD peak list
Compound: ZrCu2Se3
Radiation: Cu Kα, 1.54184 Å
Structure: the GGA-PBE geometry in OQMD
Neutral-atom scattering factors, no anomalous dispersion.

Most intense lines, 10° ≤ 2θ ≤ 90°, in order of falling intensity:
d 6.802, I = 100
d 3.322, I = 28
d 2.069, I = 19
d 2.115, I = 18
d 1.900, I = 16
d 2.518, I = 16
d 3.221, I = 14
d 2.126, I = 12
d 1.907, I = 12
d 1.972, I = 12

Atomic structure:
Lattice parameters (Å, degrees): 7.637 3.801 10.301 90.00 104.28 90.00
Fractional positions:
1 Zr 0.241 0.250 0.206
2 Zr 0.759 0.750 0.794
3 Cu 0.049 0.250 0.925
4 Cu 0.414 0.750 0.416
5 Cu 0.586 0.250 0.584
6 Cu 0.951 0.750 0.075
7 Se 0.081 0.750 0.321
8 Se 0.258 0.750 0.007
9 Se 0.431 0.750 0.662
10 Se 0.569 0.250 0.338
11 Se 0.742 0.250 0.993
12 Se 0.919 0.250 0.679

[9]
Simulated XRD peak list
Compound: Cu2Si3Sn2
Radiation: Cu Kα, 1.54184 Å
Structure: the GGA-PBE geometry in OQMD
Neutral-atom scattering factors, no anomalous dispersion.

Most intense lines, 10° ≤ 2θ ≤ 90°, in order of falling intensity:
d 2.518, I = 100
d 2.123, I = 77
d 3.142, I = 46
d 8.061, I = 37
d 2.927, I = 27
d 1.623, I = 26
d 1.289, I = 24
d 1.887, I = 23
d 1.462, I = 14
d 1.226, I = 13

Atomic structure:
Lattice parameters (Å, degrees): 8.425 8.425 8.425 29.19 29.19 29.19
Fractional positions:
1 Cu 0.000 0.000 0.000
2 Cu 0.443 0.443 0.443
3 Si 0.326 0.326 0.326
4 Si 0.595 0.595 0.595
5 Si 0.899 0.899 0.899
6 Sn 0.167 0.167 0.167
7 Sn 0.732 0.732 0.732

[10]
Simulated XRD peak list
Compound: Y3Cu4Si2Sn2
Radiation: Cu Kα, 1.54184 Å
Structure: the GGA-PBE geometry in OQMD
Neutral-atom scattering factors, no anomalous dispersion.

Most intense lines, 10° ≤ 2θ ≤ 90°, in order of falling intensity:
d 2.556, I = 100
d 2.594, I = 62
d 2.166, I = 38
d 2.643, I = 32
d 2.311, I = 28
d 7.201, I = 26
d 1.675, I = 16
d 1.198, I = 14
d 3.324, I = 13
d 1.319, I = 13

Atomic structure:
Lattice parameters (Å, degrees): 8.221 8.221 8.221 149.45 132.31 57.70
Fractional positions:
1 Y 0.000 0.000 0.000
2 Y 0.376 0.876 0.500
3 Y 0.624 0.124 0.500
4 Cu 0.036 0.347 0.689
5 Cu 0.343 0.653 0.689
6 Cu 0.657 0.347 0.311
7 Cu 0.964 0.653 0.311
8 Si 0.318 0.500 0.818
9 Si 0.682 0.500 0.182
10 Sn 0.218 0.218 0.000
11 Sn 0.782 0.782 0.000

[11]
Simulated XRD peak list
Compound: Tb2Cu3Si5
Radiation: Cu Kα, 1.54184 Å
Structure: the GGA-PBE geometry in OQMD
Neutral-atom scattering factors, no anomalous dispersion.

Most intense lines, 10° ≤ 2θ ≤ 90°, in order of falling intensity:
d 2.544, I = 100
d 2.025, I = 58
d 2.480, I = 57
d 2.466, I = 55
d 3.743, I = 42
d 1.766, I = 36
d 1.588, I = 23
d 2.875, I = 23
d 2.853, I = 22
d 1.581, I = 22

Atomic structure:
Lattice parameters (Å, degrees): 8.054 8.054 5.749 110.90 110.90 90.20
Fractional positions:
1 Tb 0.119 0.366 0.242
2 Tb 0.366 0.119 0.742
3 Tb 0.634 0.881 0.258
4 Tb 0.881 0.634 0.758
5 Cu 0.010 0.742 0.376
6 Cu 0.258 0.990 0.124
7 Cu 0.500 0.500 0.250
8 Cu 0.500 0.500 0.750
9 Cu 0.742 0.010 0.876
10 Cu 0.990 0.258 0.624
11 Si 0.000 0.000 0.250
12 Si 0.000 0.000 0.750
13 Si 0.240 0.473 0.856
14 Si 0.262 0.738 0.250
15 Si 0.262 0.738 0.750
16 Si 0.473 0.240 0.356
17 Si 0.527 0.760 0.644
18 Si 0.738 0.262 0.250
19 Si 0.738 0.262 0.750
20 Si 0.760 0.527 0.144

[12]
Simulated XRD peak list
Compound: Tb2YCu4Si4
Radiation: Cu Kα, 1.54184 Å
Structure: the GGA-PBE geometry in OQMD
Neutral-atom scattering factors, no anomalous dispersion.

Most intense lines, 10° ≤ 2θ ≤ 90°, in order of falling intensity:
d 2.523, I = 100
d 2.446, I = 87
d 2.068, I = 32
d 1.968, I = 31
d 2.237, I = 31
d 3.497, I = 25
d 2.282, I = 24
d 1.426, I = 21
d 1.556, I = 16
d 3.743, I = 15

Atomic structure:
Lattice parameters (Å, degrees): 7.864 7.864 7.864 149.50 130.84 58.96
Fractional positions:
1 Tb 0.130 0.130 0.000
2 Tb 0.870 0.870 0.000
3 Y 0.500 0.000 0.500
4 Cu 0.141 0.331 0.810
5 Cu 0.478 0.669 0.810
6 Cu 0.522 0.331 0.190
7 Cu 0.859 0.669 0.190
8 Si 0.184 0.500 0.684
9 Si 0.284 0.784 0.500
10 Si 0.716 0.216 0.500
11 Si 0.816 0.500 0.316

[13]
Simulated XRD peak list
Compound: Cu2SiTe3
Radiation: Cu Kα, 1.54184 Å
Structure: the GGA-PBE geometry in OQMD
Neutral-atom scattering factors, no anomalous dispersion.

Most intense lines, 10° ≤ 2θ ≤ 90°, in order of falling intensity:
d 3.439, I = 100
d 3.430, I = 34
d 2.114, I = 30
d 2.104, I = 29
d 2.097, I = 29
d 1.802, I = 21
d 1.799, I = 20
d 1.783, I = 15
d 2.989, I = 12
d 1.495, I = 9

Atomic structure:
Lattice parameters (Å, degrees): 7.300 7.300 7.277 99.18 99.18 120.50
Fractional positions:
1 Cu 0.086 0.914 0.500
2 Cu 0.267 0.759 0.005
3 Cu 0.759 0.267 0.505
4 Cu 0.914 0.086 0.000
5 Si 0.439 0.609 0.523
6 Si 0.609 0.439 0.023
7 Te 0.139 0.634 0.634
8 Te 0.297 0.465 0.138
9 Te 0.465 0.297 0.638
10 Te 0.634 0.139 0.134
11 Te 0.809 0.978 0.627
12 Te 0.978 0.809 0.127